No. 1
For NbTl2Te5, a structure optimized by DFT (GGA-PBE) gives the theoretical X-ray diffraction stick pattern in this record (Cu Kα (λ = 1.5418 Å)).
Kinematic intensities with the Lorentz-polarization factor, no thermal factor.

Top 10 peaks for 2θ = 5–70°, by angle:
h k l  2θ/deg  I (rel.)
0 1 1  12.72  239
0 0 2  13.04  523
1 1 2  22.14  360
0 2 2  25.61  1000
2 0 2  31.25  600
1 1 4  31.91  440
2 2 0  36.07  686
2 2 2  38.55  237
1 3 4  45.21  328
2 2 6  54.86  237

Cell and atoms:
a = 6.313 Å, b = 8.101 Å, c = 13.575 Å
α = 90.00°, β = 90.00°, γ = 90.00°
Space group Imm2 (No. 44)
Asymmetric unit:
Nb 0.000 0.000 0.000 [2 per cell]
Tl 0.000 0.500 0.093 [2 per cell]
Tl 0.000 0.500 0.613 [2 per cell]
Te 0.000 0.000 0.193 [2 per cell]
Te 0.244 0.254 0.426 [8 per cell]

=====

No. 2
For Nd3SnP2Rh9, a structure optimized by DFT (GGA-PBE) gives the theoretical X-ray diffraction stick pattern in this record (Cu Kα (λ = 1.5418 Å)).
Kinematic intensities with the Lorentz-polarization factor, no thermal factor.

Top 10 peaks for 2θ = 5–70°, by angle:
h k l  2θ/deg  I (rel.)
0 0 1  9.53  204
0 0 3  28.88  189
0 2 1  35.29  814
0 0 4  38.83  220
2 0 2  39.21  1000
2 0 3  45.11  267
1 2 2  49.66  111
0 2 4  52.48  139
2 2 0  60.65  274
0 2 5  61.01  160

Cell and atoms:
a = 6.1078 Å, b = 6.1078 Å, c = 9.2760 Å
α = 90.00°, β = 90.00°, γ = 120.00°
Space group P-3m1 (No. 164)
Asymmetric unit:
Nd 0.0000 0.0000 0.0000 [1 per cell]
Nd 0.3333 0.6667 0.7027 [2 per cell]
Sn 0.0000 0.0000 0.5000 [1 per cell]
P 0.3333 0.6667 0.1582 [2 per cell]
Rh 0.0000 0.5000 0.0000 [3 per cell]
Rh 0.1513 0.3027 0.2707 [6 per cell]

=====

No. 3
For LiZn3, a structure optimized by DFT (GGA-PBE) gives the theoretical X-ray diffraction stick pattern in this record (Cu Kα (λ = 1.5418 Å)).
Kinematic intensities with the Lorentz-polarization factor, no thermal factor.

Top 10 peaks for 2θ = 5–70°, by angle:
h k l  2θ/deg  I (rel.)
0 0 1  17.13  390
0 1 0  20.78  258
0 1 1  27.05  280
1 0 0  34.56  179
0 1 2  40.75  1000
1 1 -1  41.11  916
0 2 0  42.28  862
1 1 -2  48.73  127
1 0 -3  57.17  166
1 2 1  61.33  263

Cell and atoms:
a = 2.662 Å, b = 4.274 Å, c = 5.309 Å
α = 90.00°, β = 102.82°, γ = 90.00°
Space group P2/m (No. 10)
Asymmetric unit:
Li 0.000 0.000 0.000 [1 per cell]
Zn 0.294 0.500 0.751 [2 per cell]
Zn 0.500 0.000 0.500 [1 per cell]